The following is a computed XRD peak list of PrEuErTl. It was derived from a GGA-PBE-relaxed structure, using CuKα.
Lines closer than 0.1° are merged.

Principal peaks in the range 2θ from 5° to 70°, low angle first:
19.4°, d 4.567, I 1.4
22.5°, d 3.955, I 0.5
32.0°, d 2.797, I 100.0
37.7°, d 2.385, I 0.8
45.9°, d 1.977, I 18.5
57.0°, d 1.615, I 39.0
66.9°, d 1.398, I 12.1

Structure:
Cell: 5.5932 5.5932 5.5932 Å, 60.00 60.00 60.00°
Positions (direct):
Pr 0.0000 0.0000 0.0000
Eu 0.2500 0.2500 0.2500
Er 0.5000 0.5000 0.5000
Tl 0.7500 0.7500 0.7500

The following is a computed XRD peak list of SrZnAs2O6. It was derived from a GGA-PBE-relaxed structure, using CuKα.
Lines closer than 0.1° are merged.

Principal peaks in the range 2θ from 5° to 70°, low angle first:
28.6°, d 3.121, I 100.0
32.4°, d 2.761, I 52.9
36.4°, d 2.467, I 13.5
43.8°, d 2.068, I 23.4
48.1°, d 1.891, I 15.2
55.5°, d 1.655, I 26.9
57.8°, d 1.594, I 19.6
69.1°, d 1.359, I 9.5

Structure:
Cell: 6.3496 6.3496 6.3496 Å, 51.56 51.56 51.56°
Positions (direct):
Sr 0.0000 0.0000 0.0000
Zn 0.5000 0.5000 0.5000
As 0.2692 0.2692 0.2692
As 0.7308 0.7308 0.7308
O 0.0820 0.4774 0.7239
O 0.2761 0.9180 0.5226
O 0.4774 0.7239 0.0820
O 0.5226 0.2761 0.9180
O 0.7239 0.0820 0.4774
O 0.9180 0.5226 0.2761

The following is a computed XRD peak list of K3NbS4. It was derived from a GGA-PBE-relaxed structure, using CuKα.
Lines closer than 0.1° are merged.

Principal peaks in the range 2θ from 5° to 70°, low angle first:
14.3°, d 6.197, I 73.6
16.7°, d 5.320, I 38.2
24.3°, d 3.659, I 100.0
24.6°, d 3.615, I 33.5
28.9°, d 3.094, I 32.5
33.7°, d 2.660, I 43.9
40.8°, d 2.213, I 41.3
49.8°, d 1.830, I 25.2

Structure:
Cell: 7.3421 7.3421 7.3421 Å, 121.01 93.30 115.30°
Positions (direct):
K 0.0000 0.0000 0.0000
K 0.2878 0.5170 0.7708
K 0.7461 0.5170 0.2292
Nb 0.4755 0.9755 0.5000
S 0.3045 0.0575 0.7530
S 0.3045 0.5515 0.2470
S 0.4460 0.1367 0.3093
S 0.8274 0.1367 0.6907

The following is a computed XRD peak list of LiMnPd6. It was derived from a GGA-PBE-relaxed structure, using CuKα.
Lines closer than 0.1° are merged.

Principal peaks in the range 2θ from 5° to 70°, low angle first:
22.7°, d 3.921, I 10.6
22.9°, d 3.887, I 5.2
32.4°, d 2.760, I 8.5
39.9°, d 2.257, I 100.0
46.3°, d 1.960, I 32.5
46.7°, d 1.943, I 15.8
67.6°, d 1.386, I 10.2
67.9°, d 1.380, I 20.0

Structure:
Cell: 3.9208 3.9208 7.7738 Å, 90.00 90.00 90.00°
Positions (direct):
Li 0.0000 0.0000 0.0000
Mn 0.0000 0.0000 0.5000
Pd 0.0000 0.5000 0.2500
Pd 0.0000 0.5000 0.7500
Pd 0.5000 0.0000 0.2500
Pd 0.5000 0.0000 0.7500
Pd 0.5000 0.5000 0.0000
Pd 0.5000 0.5000 0.5000

The following is a computed XRD peak list of NaSbTeN2. It was derived from a GGA-PBE-relaxed structure, using CuKα.
Lines closer than 0.1° are merged.

Principal peaks in the range 2θ from 5° to 70°, low angle first:
21.0°, d 4.239, I 100.0
29.8°, d 2.997, I 49.6
29.9°, d 2.985, I 37.6
36.8°, d 2.441, I 47.0
42.7°, d 2.117, I 65.4
48.0°, d 1.896, I 22.0
53.0°, d 1.728, I 28.4
57.6°, d 1.600, I 25.5

Structure:
Cell: 4.2390 4.2390 5.9708 Å, 90.00 90.00 90.00°
Positions (direct):
Na 0.0000 0.0000 0.0000
Sb 0.5000 0.5000 0.5000
Te 0.5000 0.5000 0.0000
N 0.0000 0.5000 0.5000
N 0.5000 0.0000 0.5000

The following is a computed XRD peak list of AgAu3. It was derived from a GGA-PBE-relaxed structure, using CuKα.
Lines closer than 0.1° are merged.

Principal peaks in the range 2θ from 5° to 70°, low angle first:
25.4°, d 3.504, I 4.7
30.4°, d 2.940, I 2.0
35.2°, d 2.546, I 23.6
37.2°, d 2.415, I 27.1
40.0°, d 2.252, I 100.0
52.2°, d 1.752, I 15.5
63.3°, d 1.470, I 17.4
69.0°, d 1.361, I 20.2

Structure:
Cell: 5.8808 5.8808 4.8293 Å, 90.00 90.00 120.00°
Positions (direct):
Ag 0.3333 0.6667 0.2500
Ag 0.6667 0.3333 0.7500
Au 0.1671 0.3342 0.7500
Au 0.1671 0.8329 0.7500
Au 0.3342 0.1671 0.2500
Au 0.6658 0.8329 0.7500
Au 0.8329 0.1671 0.2500
Au 0.8329 0.6658 0.2500